Starting from a GGA-PBE-relaxed structure, the powder diffraction line list of Y2Th was computed for Cu Kα (weighted mean of Kα1 and Kα2).

Most intense lines, 10 to 80 degrees two-theta, most intense first:
two_theta, I/Imax
31.9, 100.0
33.6, 81.3
28.8, 61.0
10.3, 57.6
31.3, 42.1
60.8, 38.1
50.7, 33.1
40.3, 29.0

Structure:
```
3
Lattice="1.802 1.040 8.564 -1.802 1.040 8.564 0.000 -2.081 8.564" Properties=species:S:1:pos:R:3 pbc="T T T"
Y 0.000 0.000 5.757
Y 0.000 0.000 19.936
Th 0.000 0.000 0.000
```


Starting from a GGA-PBE-relaxed structure, the powder diffraction line list of ReW5 was computed for Cu Kα (weighted mean of Kα1 and Kα2).

Most intense lines, 10 to 80 degrees two-theta, most intense first:
two_theta, I/Imax
40.7, 100.0
41.5, 52.3
37.5, 37.4
66.0, 26.4
72.7, 25.0
42.6, 24.2
34.5, 24.0
69.3, 22.5

Structure:
```
24
Lattice="5.204 0.000 0.000 -2.602 4.507 0.000 0.000 0.000 16.993" Properties=species:S:1:pos:R:3 pbc="T T T"
Re 0.000 3.004 2.132
Re 0.000 3.004 6.364
Re 2.602 1.502 10.629
Re 2.602 1.502 14.861
W 0.000 0.000 1.709
W 0.000 0.000 6.788
W 0.000 0.000 10.206
W 0.000 0.000 15.284
W -1.301 2.253 0.000
W -1.301 2.253 8.497
W 0.000 1.470 4.248
W -1.329 3.772 4.248
W 1.273 0.735 12.745
W 0.000 3.004 11.040
W 0.000 3.004 14.450
W 2.602 0.000 0.000
W 2.602 0.000 8.497
W 1.301 2.253 0.000
W 1.301 2.253 8.497
W 2.602 1.502 2.543
W 2.602 1.502 5.953
W 1.329 3.772 4.248
W 3.931 0.735 12.745
W 2.602 3.036 12.745
```


Starting from a GGA-PBE-relaxed structure, the powder diffraction line list of Pr2NdCo2B2N3 was computed for Cu Kα (weighted mean of Kα1 and Kα2).

Most intense lines, 10 to 80 degrees two-theta, most intense first:
two_theta, I/Imax
27.8, 100.0
35.9, 79.0
33.2, 59.8
34.7, 37.9
49.9, 37.3
63.0, 32.4
44.3, 31.2
39.2, 30.6

Structure:
```
10
Lattice="-1.827 1.827 10.009 1.827 -1.827 10.009 1.827 1.827 -10.009" Properties=species:S:1:pos:R:3 pbc="T T T"
Pr 0.000 0.000 2.581
Pr 0.000 0.000 17.438
Nd 0.000 0.000 10.009
Co 1.827 0.000 5.005
Co 0.000 1.827 5.005
B 0.000 0.000 6.040
B 0.000 0.000 13.978
N 0.000 0.000 0.000
N 0.000 0.000 7.528
N 0.000 0.000 12.490
```